Entry 1:
# ZnH6C10I2N6
Calculated X-ray powder pattern, Cu Kα (λ = 1.5418 Å). Input: a cell relaxed with GGA-PBE.
Intensities are scaled so that the largest is 1000.

Cell and atoms:
```
data_ZnH6C10I2N6
_cell_length_a 15.6413
_cell_length_b 6.7130
_cell_length_c 14.4110
_cell_angle_alpha 90.00
_cell_angle_beta 90.00
_cell_angle_gamma 90.00
_space_group_name_H-M_alt 'C m c 21'
_space_group_IT_number 36
loop_
_space_group_symop_operation_xyz
'x,y,z'
'-x,-y,z+1/2'
'-x,y,z'
'x,-y,z+1/2'
'x+1/2,y+1/2,z'
'-x+1/2,-y+1/2,z+1/2'
'-x+1/2,y+1/2,z'
'x+1/2,-y+1/2,z+1/2'
loop_
_atom_site_label
_atom_site_fract_x
_atom_site_fract_y
_atom_site_fract_z
_atom_site_occupancy
Zn1 0.0000 0.1169 0.0000 1
H1 0.0990 0.1385 0.6350 1
H2 0.1012 0.0883 0.3472 1
H3 0.2090 0.4146 0.6263 1
C1 0.1240 0.1914 0.5688 1
C2 0.1252 0.1620 0.4096 1
C3 0.1851 0.3429 0.5634 1
C4 0.1868 0.3123 0.4063 1
C5 0.2222 0.3695 0.3187 1
I1 0.0000 0.2669 0.1609 1
I2 0.0000 0.3143 0.8500 1
N1 0.0947 0.1028 0.4918 1
N2 0.2171 0.4041 0.4825 1
N3 0.2471 0.0889 0.7476 1
```

Principal peaks in the range 2θ from 15° to 90°, in order of rising 2θ:
(hkl), 2θ/deg, I_rel
1 1 1, 15.63, 432
3 1 1, 22.46, 1000
4 0 0, 22.74, 343
1 1 3, 23.47, 522
3 1 3, 28.55, 252
8 0 0, 46.49, 223

Entry 2:
# KLuH8C4O12
Calculated X-ray powder pattern, Cu Kα (λ = 1.5418 Å). Input: a cell relaxed with GGA-PBE.
Intensities are scaled so that the largest is 1000.

Cell and atoms:
```
data_KLuH8C4O12
_cell_length_a 11.1546
_cell_length_b 11.1546
_cell_length_c 8.5091
_cell_angle_alpha 90.00
_cell_angle_beta 90.00
_cell_angle_gamma 90.00
_space_group_name_H-M_alt 'I 41/a'
_space_group_IT_number 88
loop_
_space_group_symop_operation_xyz
'x,y,z'
'-x,-y,-z'
'-y+3/4,x+1/4,z+1/4'
'y+3/4,-x+1/4,-z+1/4'
'-x+1/2,-y,z+1/2'
'x+1/2,y,-z+1/2'
'y+3/4,-x+3/4,z+3/4'
'-y+3/4,x+3/4,-z+3/4'
'x+1/2,y+1/2,z+1/2'
'-x+1/2,-y+1/2,-z+1/2'
'-y+1/4,x+3/4,z+3/4'
'y+1/4,-x+3/4,-z+3/4'
'-x,-y+1/2,z'
'x,y+1/2,-z'
'y+1/4,-x+1/4,z+1/4'
'-y+1/4,x+1/4,-z+1/4'
loop_
_atom_site_label
_atom_site_fract_x
_atom_site_fract_y
_atom_site_fract_z
_atom_site_occupancy
K1 0.0000 0.2500 0.1250 1
Lu1 0.0000 0.2500 0.6250 1
H1 0.0930 0.0039 0.8593 1
H2 0.1720 0.4987 0.9857 1
C1 0.0039 0.4761 0.4158 1
O1 0.0041 0.0536 0.6934 1
O2 0.0100 0.3646 0.4005 1
O3 0.1524 0.4543 0.0848 1
```

Principal peaks in the range 2θ from 15° to 90°, in order of rising 2θ:
(hkl), 2θ/deg, I_rel
2 0 0, 15.89, 1000
1 1 2, 23.76, 571
3 0 1, 26.15, 485
4 0 0, 32.10, 327
1 3 2, 32.99, 493
5 1 2, 46.69, 348